Starting from a structure optimized by DFT (GGA+U), the PXRD pattern of LaFeWO6 was simulated for Cu Kα.

Structure:
```
data_LaFeWO6
_chemical_formula_sum 'La2 Fe2 W2 O12'
_symmetry_space_group_name_H-M 'P 1 c 1'
_symmetry_Int_Tables_number 7
_cell_length_a 5.5184
_cell_length_b 5.5804
_cell_length_c 9.5727
_cell_angle_alpha 90.00
_cell_angle_beta 125.19
_cell_angle_gamma 90.00
loop_
_symmetry_equiv_pos_as_xyz
'x,y,z'
'x,-y,z+1/2'
loop_
_atom_site_label
_atom_site_fract_x
_atom_site_fract_y
_atom_site_fract_z
_atom_site_occupancy
La1 0.0000 0.2126 0.0000 1
Fe1 0.7556 0.2552 0.2508 1
W1 0.2571 0.2594 0.7503 1
O1 0.0139 0.4677 0.2158 1
O2 0.0674 0.2397 0.5073 1
O3 0.4317 0.2603 0.9967 1
O4 0.5165 0.0104 0.2816 1
O5 0.5750 0.4644 0.7896 1
O6 0.9698 0.0276 0.7255 1
```

Most intense lines, 5° ≤ 2θ ≤ 70°, most intense first:
32.31°, I = 1000, hkl 1 1 1
19.69°, I = 511, hkl 1 0 -2
19.54°, I = 499, hkl 0 1 1
38.15°, I = 362, hkl 1 0 -4
57.79°, I = 325, hkl 3 1 -1
46.28°, I = 301, hkl 2 2 -2
22.68°, I = 299, hkl 1 1 -1
32.45°, I = 244, hkl 2 0 -2
32.08°, I = 241, hkl 0 2 0
57.33°, I = 172, hkl 1 3 1